Record 1
For Ba2CoO4, a cell relaxed with PBE+U gives the theoretical powder diffraction line list in this record (Cu Kα).
Peak positions follow from Bragg's law for the DFT cell and can differ from measured ones.

Top 10 peaks for 2θ = 10–90°, low angle first:
- 2θ 24.61, I = 41.0
- 2θ 25.72, I = 44.4
- 2θ 27.40, I = 34.9
- 2θ 28.46, I = 58.2
- 2θ 28.68, I = 100.0
- 2θ 28.95, I = 39.2
- 2θ 29.28, I = 84.2
- 2θ 30.10, I = 45.9
- 2θ 34.60, I = 24.9
- 2θ 36.03, I = 36.9

Structural model:
```
data_Ba2CoO4
_cell_length_a 6.110
_cell_length_b 7.699
_cell_length_c 11.881
_cell_angle_alpha 90.00
_cell_angle_beta 117.69
_cell_angle_gamma 90.00
_symmetry_space_group_name_H-M 'P 1 21/c 1'
_symmetry_Int_Tables_number 14
loop_
_symmetry_equiv_pos_as_xyz
'x,y,z'
'-x,-y,-z'
'-x,y+1/2,-z+1/2'
'x,-y+1/2,z+1/2'
loop_
_atom_site_label
_atom_site_fract_x
_atom_site_fract_y
_atom_site_fract_z
_atom_site_occupancy
Ba1 0.035 0.000 0.308 1
Ba2 0.316 0.152 0.078 1
Co1 0.339 0.723 0.082 1
O1 0.140 0.672 0.637 1
O2 0.248 0.681 0.426 1
O3 0.287 0.006 0.572 1
O4 0.340 0.230 0.816 1
```

Record 2
For MgMn4Fe2O8, a cell relaxed with PBE+U gives the theoretical powder diffraction line list in this record (Cu Kα).
Peak positions follow from Bragg's law for the DFT cell and can differ from measured ones.

Top 10 peaks for 2θ = 10–90°, low angle first:
- 2θ 29.40, I = 80.5
- 2θ 33.02, I = 100.0
- 2θ 33.15, I = 84.1
- 2θ 33.63, I = 56.8
- 2θ 33.80, I = 54.4
- 2θ 34.08, I = 52.7
- 2θ 39.62, I = 64.8
- 2θ 40.37, I = 66.9
- 2θ 42.09, I = 58.6
- 2θ 59.70, I = 53.7

Structural model:
```
data_MgMn4Fe2O8
_cell_length_a 6.073
_cell_length_b 6.094
_cell_length_c 6.351
_cell_angle_alpha 116.08
_cell_angle_beta 92.30
_cell_angle_gamma 118.77
_symmetry_space_group_name_H-M 'P -1'
_symmetry_Int_Tables_number 2
loop_
_symmetry_equiv_pos_as_xyz
'x,y,z'
'-x,-y,-z'
loop_
_atom_site_label
_atom_site_fract_x
_atom_site_fract_y
_atom_site_fract_z
_atom_site_occupancy
Mg1 0.000 0.000 0.000 1
Mn1 0.000 0.500 0.000 1
Mn2 0.500 0.000 0.000 1
Mn3 0.500 0.000 0.500 1
Mn4 0.500 0.500 0.000 1
Fe1 0.151 0.306 0.468 1
O1 0.221 0.477 0.220 1
O2 0.238 0.012 0.259 1
O3 0.261 0.571 0.825 1
O4 0.263 0.007 0.779 1
```

Record 3
For FeAs4F18, a cell relaxed with PBE+U gives the theoretical powder diffraction line list in this record (Cu Kα).
Peak positions follow from Bragg's law for the DFT cell and can differ from measured ones.

Top 10 peaks for 2θ = 10–90°, low angle first:
- 2θ 13.44, I = 22.1
- 2θ 13.58, I = 17.8
- 2θ 21.27, I = 69.1
- 2θ 21.73, I = 73.8
- 2θ 23.47, I = 20.2
- 2θ 23.71, I = 100.0
- 2θ 24.70, I = 18.3
- 2θ 27.07, I = 43.4
- 2θ 27.37, I = 19.0
- 2θ 33.18, I = 16.0

Structural model:
```
data_FeAs4F18
_cell_length_a 7.498
_cell_length_b 13.174
_cell_length_c 10.432
_cell_angle_alpha 90.00
_cell_angle_beta 133.92
_cell_angle_gamma 90.00
_symmetry_space_group_name_H-M 'P 1 21/c 1'
_symmetry_Int_Tables_number 14
loop_
_symmetry_equiv_pos_as_xyz
'x,y,z'
'-x,-y,-z'
'-x,y+1/2,-z+1/2'
'x,-y+1/2,z+1/2'
loop_
_atom_site_label
_atom_site_fract_x
_atom_site_fract_y
_atom_site_fract_z
_atom_site_occupancy
Fe1 0.000 0.000 0.000 1
As1 0.084 0.218 0.516 1
As2 0.500 0.000 0.000 1
As3 0.500 0.000 0.500 1
F1 0.012 0.744 0.685 1
F2 0.015 0.155 0.052 1
F3 0.213 0.030 0.943 1
F4 0.233 0.051 0.440 1
F5 0.322 0.531 0.768 1
F6 0.324 0.546 0.283 1
F7 0.396 0.248 0.650 1
F8 0.430 0.619 0.030 1
F9 0.495 0.121 0.929 1
```

Record 4
For MgFe6O10F2, a cell relaxed with PBE+U gives the theoretical powder diffraction line list in this record (Cu Kα).
Peak positions follow from Bragg's law for the DFT cell and can differ from measured ones.

Top 10 peaks for 2θ = 10–90°, low angle first:
- 2θ 24.86, I = 94.6
- 2θ 26.35, I = 100.0
- 2θ 33.35, I = 21.9
- 2θ 35.29, I = 47.0
- 2θ 35.54, I = 50.4
- 2θ 36.05, I = 20.1
- 2θ 39.51, I = 33.6
- 2θ 52.33, I = 23.0
- 2θ 52.89, I = 37.1
- 2θ 54.24, I = 19.3

Structural model:
```
data_MgFe6O10F2
_cell_length_a 2.958
_cell_length_b 6.767
_cell_length_c 11.182
_cell_angle_alpha 73.89
_cell_angle_beta 89.91
_cell_angle_gamma 89.97
_symmetry_space_group_name_H-M 'P 1'
_symmetry_Int_Tables_number 1
loop_
_symmetry_equiv_pos_as_xyz
'x,y,z'
loop_
_atom_site_label
_atom_site_fract_x
_atom_site_fract_y
_atom_site_fract_z
_atom_site_occupancy
Mg1 0.000 0.000 0.000 1
Fe1 0.005 0.155 0.212 1
Fe2 0.005 0.475 0.495 1
Fe3 0.501 0.366 0.791 1
Fe4 0.504 0.638 0.193 1
Fe5 0.505 0.007 0.500 1
Fe6 0.999 0.841 0.791 1
O1 0.002 0.382 0.680 1
O2 0.004 0.612 0.310 1
O3 0.004 0.957 0.615 1
O4 0.005 0.026 0.386 1
O5 0.005 0.697 0.078 1
O6 0.499 0.650 0.805 1
O7 0.500 0.009 0.861 1
O8 0.503 0.004 0.140 1
O9 0.505 0.303 0.481 1
O10 0.505 0.344 0.197 1
F1 0.000 0.302 0.931 1
F2 0.505 0.680 0.508 1
```

Record 5
For Li9Mn2Co5O16, a cell relaxed with PBE+U gives the theoretical powder diffraction line list in this record (Cu Kα).
Peak positions follow from Bragg's law for the DFT cell and can differ from measured ones.

Top 10 peaks for 2θ = 10–90°, low angle first:
- 2θ 18.39, I = 100.0
- 2θ 34.99, I = 17.2
- 2θ 36.39, I = 13.0
- 2θ 36.64, I = 11.7
- 2θ 37.74, I = 7.4
- 2θ 42.05, I = 29.9
- 2θ 44.21, I = 25.4
- 2θ 44.60, I = 24.9
- 2θ 62.75, I = 7.8
- 2θ 63.11, I = 7.4

Structural model:
```
data_Li9Mn2Co5O16
_cell_length_a 5.902
_cell_length_b 5.928
_cell_length_c 8.195
_cell_angle_alpha 90.67
_cell_angle_beta 90.45
_cell_angle_gamma 93.20
_symmetry_space_group_name_H-M 'P 1'
_symmetry_Int_Tables_number 1
loop_
_symmetry_equiv_pos_as_xyz
'x,y,z'
loop_
_atom_site_label
_atom_site_fract_x
_atom_site_fract_y
_atom_site_fract_z
_atom_site_occupancy
Li1 0.000 0.000 0.000 1
Li2 0.001 0.484 0.522 1
Li3 0.257 0.739 0.761 1
Li4 0.258 0.242 0.256 1
Li5 0.511 0.481 0.514 1
Li6 0.513 0.995 0.995 1
Li7 0.755 0.737 0.760 1
Li8 0.756 0.240 0.255 1
Li9 0.758 0.240 0.760 1
Mn1 0.002 0.997 0.509 1
Mn2 0.753 0.739 0.258 1
Co1 0.003 0.487 0.004 1
Co2 0.255 0.739 0.257 1
Co3 0.262 0.246 0.758 1
Co4 0.507 0.992 0.512 1
Co5 0.511 0.478 0.006 1
O1 0.018 0.482 0.778 1
O2 0.019 0.997 0.740 1
O3 0.234 0.235 0.504 1
O4 0.245 0.774 0.491 1
O5 0.252 0.717 0.026 1
O6 0.278 0.239 0.009 1
O7 0.495 0.481 0.759 1
O8 0.497 0.996 0.736 1
O9 0.515 0.956 0.273 1
O10 0.519 0.501 0.261 1
O11 0.736 0.741 0.023 1
O12 0.763 0.203 0.506 1
O13 0.767 0.263 0.009 1
O14 0.775 0.742 0.496 1
O15 0.990 0.981 0.268 1
O16 0.994 0.525 0.245 1
```

Record 6
For Li4Nb3V3Fe2O16, a cell relaxed with PBE+U gives the theoretical powder diffraction line list in this record (Cu Kα).
Peak positions follow from Bragg's law for the DFT cell and can differ from measured ones.

Top 10 peaks for 2θ = 10–90°, low angle first:
- 2θ 17.93, I = 100.0
- 2θ 18.98, I = 82.4
- 2θ 19.04, I = 24.8
- 2θ 24.54, I = 27.5
- 2θ 34.41, I = 42.9
- 2θ 34.99, I = 27.6
- 2θ 35.11, I = 31.6
- 2θ 43.67, I = 29.7
- 2θ 57.99, I = 29.0
- 2θ 60.91, I = 31.3

Structural model:
```
data_Li4Nb3V3Fe2O16
_cell_length_a 10.507
_cell_length_b 6.140
_cell_length_c 9.895
_cell_angle_alpha 90.00
_cell_angle_beta 90.73
_cell_angle_gamma 90.00
_symmetry_space_group_name_H-M 'C 1 m 1'
_symmetry_Int_Tables_number 8
loop_
_symmetry_equiv_pos_as_xyz
'x,y,z'
'x,-y,z'
'x+1/2,y+1/2,z'
'x+1/2,-y+1/2,z'
loop_
_atom_site_label
_atom_site_fract_x
_atom_site_fract_y
_atom_site_fract_z
_atom_site_occupancy
Li1 0.000 0.000 0.000 1
Li2 0.005 0.000 0.505 1
Li3 0.178 0.500 0.891 1
Li4 0.344 0.000 0.407 1
Nb1 0.102 0.253 0.219 1
Nb2 0.182 0.000 0.720 1
V1 0.339 0.500 0.216 1
V2 0.428 0.248 0.721 1
Fe1 0.186 0.500 0.509 1
Fe2 0.361 0.000 0.986 1
O1 0.015 0.000 0.318 1
O2 0.017 0.000 0.822 1
O3 0.028 0.500 0.333 1
O4 0.094 0.235 0.612 1
O5 0.171 0.500 0.102 1
O6 0.174 0.000 0.106 1
O7 0.248 0.266 0.342 1
O8 0.271 0.217 0.849 1
O9 0.340 0.000 0.608 1
O10 0.354 0.500 0.616 1
O11 0.437 0.250 0.103 1
O12 0.494 0.000 0.843 1
```